# Na4UCr3O14
Calculated PXRD pattern, copper Kα. Input: a DFT-relaxed cell (GGA+U, the Materials Project).
Neutral-atom scattering factors, no anomalous dispersion.

Structural model:
```
data_Na4UCr3O14
_chemical_formula_sum 'Na8 U2 Cr6 O28'
_symmetry_space_group_name_H-M 'P 1'
_symmetry_Int_Tables_number 1
_cell_length_a 7.3349
_cell_length_b 8.6444
_cell_length_c 11.6313
_cell_angle_alpha 80.07
_cell_angle_beta 78.74
_cell_angle_gamma 69.08
loop_
_symmetry_equiv_pos_as_xyz
'x,y,z'
loop_
_atom_site_label
_atom_site_type_symbol
_atom_site_fract_x
_atom_site_fract_y
_atom_site_fract_z
_atom_site_occupancy
Na1 Na 0.0440 0.4085 0.1739 1
Na2 Na 0.2227 0.9639 0.7123 1
Na3 Na 0.2638 0.7208 0.0154 1
Na4 Na 0.3392 0.3510 0.5439 1
Na5 Na 0.6608 0.6490 0.4561 1
Na6 Na 0.7362 0.2792 0.9846 1
Na7 Na 0.7773 0.0361 0.2877 1
Na8 Na 0.9560 0.5915 0.8261 1
U1 U 0.3189 0.8811 0.2668 1
U2 U 0.6811 0.1189 0.7332 1
Cr1 Cr 0.0165 0.7656 0.5451 1
Cr2 Cr 0.2539 0.1610 0.9746 1
Cr3 Cr 0.4824 0.5777 0.7588 1
Cr4 Cr 0.5176 0.4223 0.2412 1
Cr5 Cr 0.7461 0.8390 0.0254 1
Cr6 Cr 0.9835 0.2344 0.4549 1
O1 O 0.0482 0.5761 0.6129 1
O2 O 0.0578 0.0979 0.3516 1
O3 O 0.0646 0.3303 0.9495 1
O4 O 0.1303 0.8331 0.2115 1
O5 O 0.1482 0.1843 0.5436 1
O6 O 0.2309 0.0048 0.9235 1
O7 O 0.2318 0.7733 0.4653 1
O8 O 0.2527 0.6662 0.8229 1
O9 O 0.2557 0.1230 0.1221 1
O10 O 0.3654 0.4665 0.1431 1
O11 O 0.4669 0.1935 0.9076 1
O12 O 0.4666 0.2872 0.3488 1
O13 O 0.4861 0.0803 0.6774 1
O14 O 0.4976 0.5981 0.2995 1
O15 O 0.5024 0.4019 0.7005 1
O16 O 0.5139 0.9197 0.3226 1
O17 O 0.5334 0.7128 0.6512 1
O18 O 0.5331 0.8065 0.0924 1
O19 O 0.6346 0.5335 0.8569 1
O20 O 0.7443 0.8770 0.8779 1
O21 O 0.7473 0.3338 0.1771 1
O22 O 0.7682 0.2267 0.5347 1
O23 O 0.7691 0.9952 0.0765 1
O24 O 0.8518 0.8157 0.4564 1
O25 O 0.8697 0.1669 0.7885 1
O26 O 0.9354 0.6697 0.0505 1
O27 O 0.9422 0.9021 0.6484 1
O28 O 0.9518 0.4239 0.3871 1
```

Most intense lines, 10° ≤ 2θ ≤ 80°, in order of rising 2θ:
Position (°2θ)  I_rel  index
11.03  57  0 1 0
14.22  85  1 0 1
14.42  100  1 1 1
18.89  41  1 0 2
22.67  57  0 2 1
23.30  35  1 1 -2
24.87  61  2 1 0
26.60  35  2 1 2
28.67  46  1 0 -3
30.65  40  1 -2 1